Diffraction record for Sr2MgCuO4. The PXRD pattern is theoretical, not measured: it uses a crystal structure in the Materials Project, relaxed with GGA-PBE and Cu Ka.

Atomic structure:
abc: 3.7282 3.7282 16.7440
angles: 90.00 90.00 90.00
Atoms (fractional coordinates):
Sr1 0.0000 0.0000 0.1050
Sr2 0.0000 0.0000 0.8950
Sr3 0.5000 0.5000 0.3950
Sr4 0.5000 0.5000 0.6050
Mg1 0.0000 0.5000 0.2500
Mg2 0.5000 0.0000 0.7500
Cu1 0.0000 0.0000 0.5000
Cu2 0.5000 0.5000 0.0000
O1 0.0000 0.0000 0.3141
O2 0.0000 0.0000 0.6859
O3 0.0000 0.5000 0.0032
O4 0.0000 0.5000 0.4968
O5 0.5000 0.0000 0.5032
O6 0.5000 0.0000 0.9968
O7 0.5000 0.5000 0.1859
O8 0.5000 0.5000 0.8141

Top 6 peaks for 10° ≤ 2θ ≤ 80°, sorted by position:
2θ = 10.6°, rel. 58, (0 0 2); 2θ = 28.8°, rel. 29, (1 0 3); 2θ = 34.0°, rel. 38, (1 1 0); 2θ = 36.1°, rel. 100, (1 0 5); 2θ = 48.9°, rel. 30, (2 0 0); 2θ = 62.2°, rel. 37, (2 1 5)